No. 1
Y2MgInGe: simulated X-ray powder pattern (Cu Ka), based on a cell relaxed with PBE.
Intensities are scaled so that the largest is 100.

Structure:
```
Y2MgInGe
1.0
5.4710 0.0000 0.0000
0.0000 5.4710 0.0000
0.0000 0.0000 4.8968
Y Mg In Ge
2 1 1 1
direct
0.0000 0.5000 0.0000 Y
0.5000 0.0000 0.0000 Y
0.0000 0.0000 0.5000 Mg
0.5000 0.5000 0.5000 In
0.0000 0.0000 0.0000 Ge
```

Largest 10 diffraction maxima, sorted by position, 2θ = 10–80°:
hkl	2θ/deg	I (rel.)
1 0 1	24.40	71
1 1 1	29.42	100
2 0 0	32.74	97
0 0 2	36.71	35
2 1 1	41.25	35
2 2 0	46.98	34
2 0 2	49.99	57
3 1 1	56.40	31
2 2 2	61.05	31
4 2 0	78.11	18



No. 2
Sm2Ho6Cd: simulated X-ray powder pattern (Cu Ka), based on a cell relaxed with PBE.
Intensities are scaled so that the largest is 100.

Structure:
```
Sm2Ho6Cd
1.0
9.8958 0.0000 0.0000
0.0000 10.2345 0.0000
0.0000 0.0000 5.4181
Sm Ho Cd
4 12 2
direct
0.1959 0.2371 0.0000 Sm
0.3041 0.7371 0.5000 Sm
0.6959 0.2629 0.5000 Sm
0.8041 0.7629 0.0000 Sm
0.0223 0.3218 0.5000 Ho
0.1364 0.8890 0.0000 Ho
0.1783 0.5626 0.0000 Ho
0.3217 0.0626 0.5000 Ho
0.3636 0.3890 0.5000 Ho
0.4777 0.8218 0.0000 Ho
0.5223 0.1782 0.0000 Ho
0.6364 0.6110 0.5000 Ho
0.6783 0.9374 0.5000 Ho
0.8217 0.4374 0.0000 Ho
0.8636 0.1110 0.0000 Ho
0.9777 0.6782 0.5000 Ho
0.0000 0.0000 0.5000 Cd
0.5000 0.5000 0.0000 Cd
```

Largest 10 diffraction maxima, sorted by position, 2θ = 10–80°:
hkl	2θ/deg	I (rel.)
0 3 1	30.98	42
3 0 1	31.76	100
2 3 0	31.86	32
1 3 1	32.30	75
0 0 2	33.05	70
3 3 0	37.94	21
2 3 2	46.58	23
3 3 2	51.20	17
2 6 0	57.16	18
3 0 3	58.24	18



What did the first record say?
Y2MgInGe: simulated X-ray powder pattern (Cu Ka), based on a cell relaxed with PBE.
Intensities are scaled so that the largest is 100.

Structure:
```
Y2MgInGe
1.0
5.4710 0.0000 0.0000
0.0000 5.4710 0.0000
0.0000 0.0000 4.8968
Y Mg In Ge
2 1 1 1
direct
0.0000 0.5000 0.0000 Y
0.5000 0.0000 0.0000 Y
0.0000 0.0000 0.5000 Mg
0.5000 0.5000 0.5000 In
0.0000 0.0000 0.0000 Ge
```

Largest 10 diffraction maxima, sorted by position, 2θ = 10–80°:
hkl	2θ/deg	I (rel.)
1 0 1	24.40	71
1 1 1	29.42	100
2 0 0	32.74	97
0 0 2	36.71	35
2 1 1	41.25	35
2 2 0	46.98	34
2 0 2	49.99	57
3 1 1	56.40	31
2 2 2	61.05	31
4 2 0	78.11	18